Tb2Se: computed XRD peak list (CuKα), based on a structure optimized by DFT (GGA-PBE).

Main lines, by angle (10° ≤ 2θ ≤ 90°):
h k l	2theta	I/Imax
1 1 -2	30.24	41.1
3 1 0	30.99	100.0
2 0 3	31.52	81.8
3 1 -1	32.19	56.8
3 1 1	32.59	30.8
1 1 -3	36.83	58.6
6 0 2	46.67	30.4
0 2 0	46.83	35.3

Atomic structure:
```
data_Tb2Se
_cell_length_a 12.9582
_cell_length_b 3.8796
_cell_length_c 9.6333
_cell_angle_alpha 90.00
_cell_angle_beta 91.89
_cell_angle_gamma 90.00
_space_group_name_H-M_alt 'C 1 2/m 1'
_space_group_IT_number 12
loop_
_space_group_symop_operation_xyz
'x,y,z'
'-x,-y,-z'
'-x,y,-z'
'x,-y,z'
'x+1/2,y+1/2,z'
'-x+1/2,-y+1/2,-z'
'-x+1/2,y+1/2,-z'
'x+1/2,-y+1/2,z'
loop_
_atom_site_label
_atom_site_fract_x
_atom_site_fract_y
_atom_site_fract_z
Tb1 0.0675 0.0000 0.2805
Tb2 0.1416 0.5000 0.5663
Tb3 0.1480 0.5000 0.9319
Se1 0.0000 0.0000 0.0000
Se2 0.2341 0.5000 0.2359
```

***

Dy7YTh3: computed XRD peak list (CuKα), based on a structure optimized by DFT (GGA-PBE).

Main lines, by angle (10° ≤ 2θ ≤ 90°):
h k l	2theta	I/Imax
0 2 -2	31.04	23.1
1 2 -1	31.84	100.0
2 -1 1	31.97	51.9
0 1 -3	32.12	74.5
-1 2 1	32.24	77.1
2 0 -2	32.78	66.8
1 1 2	33.58	49.5
1 -2 2	33.91	31.2

Atomic structure:
```
data_Dy7YTh3
_cell_length_a 6.4431
_cell_length_b 6.6959
_cell_length_c 8.6286
_cell_angle_alpha 101.26
_cell_angle_beta 97.30
_cell_angle_gamma 96.74
_space_group_name_H-M_alt 'P -1'
_space_group_IT_number 2
loop_
_space_group_symop_operation_xyz
'x,y,z'
'-x,-y,-z'
loop_
_atom_site_label
_atom_site_fract_x
_atom_site_fract_y
_atom_site_fract_z
Dy1 0.0000 0.0000 0.0000
Dy2 0.0720 0.7143 0.6439
Dy3 0.2082 0.2290 0.7044
Dy4 0.4922 0.7320 0.9251
Y1 0.0000 0.5000 0.0000
Th1 0.3229 0.9478 0.3353
Th2 0.5000 0.5000 0.5000
```